# 1
Theoretical powder diffraction line list of Ca2AgH6Ru for CuKα, from a crystal structure in Alexandria, relaxed with GGA-PBE.
Kinematic intensities with the Lorentz-polarization factor, no thermal factor.

Main lines, most intense first (10° ≤ 2θ ≤ 80°):
20.50 deg, I 100; 39.01 deg, I 78; 35.90 deg, I 69; 66.60 deg, I 30; 54.05 deg, I 30; 26.26 deg, I 18; 41.69 deg, I 15; 49.42 deg, I 14; 56.16 deg, I 13; 64.52 deg, I 11; 72.65 deg, I 8; 76.10 deg, I 7

Structural model:
```
Ca2AgH6Ru
1.0
5.0033 0.0000 0.0000
-2.5016 4.3330 0.0000
0.0000 0.0000 5.4578
Ca Ag H Ru
2 1 6 1
Direct
0.3333 0.6667 0.2020 Ca
0.6667 0.3333 0.7980 Ca
0.0000 0.0000 0.5000 Ag
0.1659 0.3318 0.8218 H
0.1659 0.8341 0.8218 H
0.3318 0.1659 0.1782 H
0.6682 0.8341 0.8218 H
0.8341 0.1659 0.1782 H
0.8341 0.6682 0.1782 H
0.0000 0.0000 0.0000 Ru
```

# 2
Theoretical powder diffraction line list of CaHfAg2 for CuKα, from a crystal structure in Alexandria, relaxed with GGA-PBE.
Kinematic intensities with the Lorentz-polarization factor, no thermal factor.

Main lines, most intense first (10° ≤ 2θ ≤ 80°):
35.43 deg, I 100; 11.97 deg, I 58; 36.53 deg, I 51; 65.05 deg, I 32; 45.09 deg, I 21; 52.62 deg, I 17; 62.89 deg, I 16; 74.97 deg, I 15; 38.57 deg, I 15; 71.75 deg, I 10; 49.31 deg, I 7; 28.35 deg, I 7

Structural model:
```
CaHfAg2
1.0
3.4788 0.0000 0.0000
0.0000 3.4788 0.0000
0.0000 0.0000 7.3922
Ca Hf Ag
1 1 2
Direct
0.0000 0.0000 0.0000 Ca
0.0000 0.0000 0.5000 Hf
0.5000 0.5000 0.2843 Ag
0.5000 0.5000 0.7157 Ag
```

# 3
Theoretical powder diffraction line list of Ca11Ag9Hg4 for CuKα, from a crystal structure in Alexandria, relaxed with GGA-PBE.
Kinematic intensities with the Lorentz-polarization factor, no thermal factor.

Main lines, most intense first (10° ≤ 2θ ≤ 80°):
34.21 deg, I 100; 33.39 deg, I 95; 34.39 deg, I 92; 23.57 deg, I 56; 24.67 deg, I 43; 41.96 deg, I 40; 60.44 deg, I 36; 23.31 deg, I 31; 48.22 deg, I 24; 62.00 deg, I 19; 60.09 deg, I 17; 47.67 deg, I 14

Structural model:
```
Ca11Ag9Hg4
1.0
7.6313 -10.8202 0.0000
7.6313 10.8202 0.0000
0.0000 0.0000 3.7745
Ca Ag Hg
11 9 4
Direct
0.0000 0.0000 0.0000 Ca
0.0669 0.4075 0.0000 Ca
0.1766 0.8234 0.0000 Ca
0.2386 0.2386 0.0000 Ca
0.3574 0.6426 0.0000 Ca
0.4075 0.0669 0.0000 Ca
0.5925 0.9331 0.0000 Ca
0.6426 0.3574 0.0000 Ca
0.7614 0.7614 0.0000 Ca
0.8234 0.1766 0.0000 Ca
0.9331 0.5925 0.0000 Ca
0.0281 0.2009 0.5000 Ag
0.1471 0.6187 0.5000 Ag
0.2009 0.0281 0.5000 Ag
0.3813 0.8529 0.5000 Ag
0.5000 0.5000 0.5000 Ag
0.6187 0.1471 0.5000 Ag
0.7991 0.9719 0.5000 Ag
0.8529 0.3813 0.5000 Ag
0.9719 0.7991 0.5000 Ag
0.2663 0.4399 0.5000 Hg
0.4399 0.2663 0.5000 Hg
0.5601 0.7337 0.5000 Hg
0.7337 0.5601 0.5000 Hg
```

# 4
Theoretical powder diffraction line list of CaAg5Hg2 for CuKα, from a crystal structure in Alexandria, relaxed with GGA-PBE.
Kinematic intensities with the Lorentz-polarization factor, no thermal factor.

Main lines, most intense first (10° ≤ 2θ ≤ 80°):
37.94 deg, I 100; 40.34 deg, I 55; 33.79 deg, I 52; 42.40 deg, I 52; 35.00 deg, I 45; 31.78 deg, I 43; 66.41 deg, I 39; 27.47 deg, I 35; 41.43 deg, I 30; 68.71 deg, I 30; 15.68 deg, I 28; 52.29 deg, I 22

Structural model:
```
CaAg5Hg2
1.0
-1.7494 4.3593 5.6521
1.7494 -4.3593 5.6521
1.7494 4.3593 -5.6521
Ca Ag Hg
1 5 2
Direct
0.0000 0.0000 0.0000 Ca
0.1608 0.3738 0.7870 Ag
0.4132 0.6262 0.7870 Ag
0.5000 0.0000 0.5000 Ag
0.5868 0.3738 0.2130 Ag
0.8392 0.6262 0.2130 Ag
0.2389 0.7389 0.5000 Hg
0.7611 0.2611 0.5000 Hg
```

# 5
Theoretical powder diffraction line list of Ca2Ag5Hg4 for CuKα, from a crystal structure in Alexandria, relaxed with GGA-PBE.
Kinematic intensities with the Lorentz-polarization factor, no thermal factor.

Main lines, most intense first (10° ≤ 2θ ≤ 80°):
18.37 deg, I 100; 36.23 deg, I 68; 34.87 deg, I 61; 40.91 deg, I 43; 38.28 deg, I 40; 32.08 deg, I 31; 42.03 deg, I 30; 39.95 deg, I 30; 60.79 deg, I 23; 63.79 deg, I 19; 79.19 deg, I 19; 46.69 deg, I 17

Structural model:
```
Ca2Ag5Hg4
1.0
0.0000 4.8339 9.4044
2.9179 0.0000 9.4044
2.9179 4.8339 0.0000
Ca Ag Hg
2 5 4
Direct
0.1227 0.1227 0.8773 Ca
0.8773 0.8773 0.1227 Ca
0.0000 0.0000 0.5000 Ag
0.2500 0.2500 0.2500 Ag
0.5000 0.5000 0.0000 Ag
0.5000 0.5000 0.5000 Ag
0.7500 0.7500 0.7500 Ag
0.2110 0.5298 0.4702 Hg
0.4702 0.7890 0.2110 Hg
0.5298 0.2110 0.7890 Hg
0.7890 0.4702 0.5298 Hg
```

# 6
Theoretical powder diffraction line list of Ca3Ag3Hg for CuKα, from a crystal structure in Alexandria, relaxed with GGA-PBE.
Kinematic intensities with the Lorentz-polarization factor, no thermal factor.

Main lines, most intense first (10° ≤ 2θ ≤ 80°):
36.76 deg, I 100; 15.53 deg, I 68; 22.33 deg, I 61; 29.95 deg, I 60; 42.30 deg, I 47; 24.45 deg, I 46; 30.83 deg, I 45; 35.70 deg, I 42; 37.43 deg, I 41; 37.90 deg, I 31; 31.42 deg, I 28; 41.66 deg, I 27

Structural model:
```
Ca3Ag3Hg
1.0
5.7232 -2.1365 0.0000
5.7232 2.1365 0.0000
-4.4919 0.0000 15.1751
Ca Ag Hg
6 6 2
Direct
0.0128 0.0128 0.3786 Ca
0.1123 0.1123 0.9258 Ca
0.2302 0.2302 0.2240 Ca
0.7698 0.7698 0.7760 Ca
0.8877 0.8877 0.0742 Ca
0.9872 0.9872 0.6214 Ca
0.3714 0.3714 0.4660 Ag
0.3947 0.3947 0.9250 Ag
0.4911 0.4911 0.7764 Ag
0.5089 0.5089 0.2236 Ag
0.6053 0.6053 0.0750 Ag
0.6286 0.6286 0.5340 Ag
0.2764 0.2764 0.6236 Hg
0.7236 0.7236 0.3764 Hg
```